# 1
Structure and theoretical powder diffractogram of TcMoH (a cell relaxed with PBE; Cu Kα (λ = 1.5418 Å)).

Top 8 peaks for 10° ≤ 2θ ≤ 90°, by angle:
hkl 1 2 0, 2θ = 36.4°, 2.470 Å, rel. 24
hkl 0 0 2, 2θ = 39.2°, 2.296 Å, rel. 26
hkl 2 0 1, 2θ = 41.5°, 2.176 Å, rel. 100
hkl 1 2 2, 2θ = 54.6°, 1.682 Å, rel. 15
hkl 0 4 0, 2θ = 65.4°, 1.426 Å, rel. 17
hkl 2 0 3, 2θ = 72.7°, 1.301 Å, rel. 18
hkl 0 4 2, 2θ = 79.0°, 1.212 Å, rel. 19
hkl 2 4 1, 2θ = 80.5°, 1.193 Å, rel. 14

Crystal structure
```
data_TcMoH
_symmetry_space_group_name_H-M 'P n a 21'
_symmetry_Int_Tables_number 33
_symmetry_space_group_name_Hall 'P 2c -2n'
_cell_length_a 4.944
_cell_length_b 5.702
_cell_length_c 4.592
_cell_angle_alpha 90.00
_cell_angle_beta 90.00
_cell_angle_gamma 90.00
loop_
_atom_site_label
_atom_site_type_symbol
_atom_site_fract_x
_atom_site_fract_y
_atom_site_fract_z
Tc1 Tc 0.080 0.127 0.000
Mo1 Mo 0.090 0.624 0.991
H1 H 0.248 0.374 0.739
```

# 2
Structure and theoretical powder diffractogram of Bi8Mo3 (a cell relaxed with PBE; Cu Kα (λ = 1.5418 Å)).

Top 8 peaks for 10° ≤ 2θ ≤ 90°, by angle:
hkl 2 0 -3, 2θ = 26.4°, 3.379 Å, rel. 27
hkl 1 1 3, 2θ = 28.8°, 3.096 Å, rel. 26
hkl 2 1 1, 2θ = 32.2°, 2.783 Å, rel. 85
hkl 1 1 -5, 2θ = 32.8°, 2.734 Å, rel. 100
hkl 0 2 0, 2θ = 37.0°, 2.430 Å, rel. 88
hkl 2 1 -6, 2θ = 41.0°, 2.202 Å, rel. 22
hkl 3 1 0, 2θ = 41.8°, 2.163 Å, rel. 30
hkl 1 2 6, 2θ = 53.3°, 1.718 Å, rel. 26

Crystal structure
```
data_Bi8Mo3
_symmetry_space_group_name_H-M 'P 1 21/m 1'
_symmetry_Int_Tables_number 11
_symmetry_space_group_name_Hall '-P 2yb'
_cell_length_a 7.412
_cell_length_b 4.865
_cell_length_c 17.057
_cell_angle_alpha 90.00
_cell_angle_beta 102.24
_cell_angle_gamma 90.00
loop_
_atom_site_label
_atom_site_type_symbol
_atom_site_fract_x
_atom_site_fract_y
_atom_site_fract_z
Bi1 Bi 0.040 0.250 0.335
Bi2 Bi 0.142 0.250 0.981
Bi3 Bi 0.145 0.250 0.782
Bi4 Bi 0.206 0.750 0.467
Bi5 Bi 0.279 0.750 0.132
Bi6 Bi 0.344 0.750 0.904
Bi7 Bi 0.380 0.250 0.603
Bi8 Bi 0.435 0.250 0.263
Mo1 Mo 0.046 0.250 0.150
Mo2 Mo 0.237 0.750 0.295
Mo3 Mo 0.421 0.250 0.436
```

# 3
Structure and theoretical powder diffractogram of SrCeEuSbO6 (a cell relaxed with PBE; Cu Kα (λ = 1.5418 Å)).

Top 8 peaks for 10° ≤ 2θ ≤ 90°, by angle:
hkl 1 1 2, 2θ = 29.6°, 3.018 Å, rel. 100
hkl 2 0 0, 2θ = 30.0°, 2.980 Å, rel. 56
hkl 0 0 4, 2θ = 41.8°, 2.162 Å, rel. 17
hkl 2 2 0, 2θ = 42.9°, 2.107 Å, rel. 27
hkl 2 0 4, 2θ = 52.3°, 1.750 Å, rel. 24
hkl 3 1 2, 2θ = 53.0°, 1.728 Å, rel. 46
hkl 2 2 4, 2θ = 61.4°, 1.509 Å, rel. 18
hkl 4 2 4, 2θ = 85.6°, 1.134 Å, rel. 13

Crystal structure
```
data_SrCeEuSbO6
_symmetry_space_group_name_H-M 'P -4 n 2'
_symmetry_Int_Tables_number 118
_symmetry_space_group_name_Hall 'P -4 -2n'
_cell_length_a 5.959
_cell_length_b 5.959
_cell_length_c 8.648
_cell_angle_alpha 90.00
_cell_angle_beta 90.00
_cell_angle_gamma 90.00
loop_
_atom_site_label
_atom_site_type_symbol
_atom_site_fract_x
_atom_site_fract_y
_atom_site_fract_z
Sr1 Sr 0.000 0.500 0.250
Ce1 Ce 0.000 0.000 0.500
Eu1 Eu 0.000 0.500 0.750
Sb1 Sb 0.000 0.000 0.000
O1 O 0.000 0.000 0.237
O2 O 0.166 0.302 0.998
```

# 4
Structure and theoretical powder diffractogram of PuThCu4 (a cell relaxed with PBE; Cu Kα (λ = 1.5418 Å)).

Top 8 peaks for 10° ≤ 2θ ≤ 90°, by angle:
hkl 0 0 4, 2θ = 23.2°, 3.835 Å, rel. 21
hkl 1 0 3, 2θ = 28.7°, 3.111 Å, rel. 42
hkl 1 1 2, 2θ = 34.4°, 2.607 Å, rel. 100
hkl 1 0 5, 2θ = 37.2°, 2.416 Å, rel. 51
hkl 2 0 0, 2θ = 46.3°, 1.960 Å, rel. 32
hkl 1 0 7, 2θ = 47.5°, 1.913 Å, rel. 28
hkl 2 1 5, 2θ = 60.9°, 1.522 Å, rel. 24
hkl 2 1 7, 2θ = 68.5°, 1.369 Å, rel. 22

Crystal structure
```
data_PuThCu4
_symmetry_space_group_name_H-M 'I -4 m 2'
_symmetry_Int_Tables_number 119
_symmetry_space_group_name_Hall 'I -4 -2'
_cell_length_a 3.920
_cell_length_b 3.920
_cell_length_c 15.338
_cell_angle_alpha 90.00
_cell_angle_beta 90.00
_cell_angle_gamma 90.00
loop_
_atom_site_label
_atom_site_type_symbol
_atom_site_fract_x
_atom_site_fract_y
_atom_site_fract_z
Pu1 Pu 0.000 0.000 0.000
Th1 Th 0.000 0.500 0.750
Cu1 Cu 0.000 0.000 0.421
Cu2 Cu 0.000 0.500 0.170
```

# 5
Structure and theoretical powder diffractogram of NdSn5Se7 (a cell relaxed with PBE; Cu Kα (λ = 1.5418 Å)).

Top 8 peaks for 10° ≤ 2θ ≤ 90°, by angle:
hkl 0 2 6, 2θ = 25.0°, 3.562 Å, rel. 45
hkl 0 2 7, 2θ = 28.2°, 3.162 Å, rel. 52
hkl 1 3 2, 2θ = 29.5°, 3.028 Å, rel. 96
hkl 1 3 3, 2θ = 30.6°, 2.921 Å, rel. 100
hkl 1 1 9, 2θ = 39.8°, 2.267 Å, rel. 44
hkl 1 5 4, 2θ = 41.3°, 2.187 Å, rel. 38
hkl 1 1 10, 2θ = 42.9°, 2.106 Å, rel. 33
hkl 2 0 0, 2θ = 43.3°, 2.089 Å, rel. 43

Crystal structure
```
data_NdSn5Se7
_symmetry_space_group_name_H-M 'C m c 21'
_symmetry_Int_Tables_number 36
_symmetry_space_group_name_Hall 'C 2c -2'
_cell_length_a 4.177
_cell_length_b 14.107
_cell_length_c 24.756
_cell_angle_alpha 90.00
_cell_angle_beta 90.00
_cell_angle_gamma 90.00
loop_
_atom_site_label
_atom_site_type_symbol
_atom_site_fract_x
_atom_site_fract_y
_atom_site_fract_z
Nd1 Nd 0.000 0.211 0.000
Sn1 Sn 0.000 0.009 0.243
Sn2 Sn 0.000 0.254 0.663
Sn3 Sn 0.000 0.280 0.316
Sn4 Sn 0.000 0.450 0.889
Sn5 Sn 0.000 0.480 0.089
Se1 Se 0.000 0.079 0.846
Se2 Se 0.000 0.120 0.117
Se3 Se 0.000 0.168 0.561
Se4 Se 0.000 0.200 0.422
Se5 Se 0.000 0.354 0.778
Se6 Se 0.000 0.377 0.203
Se7 Se 0.000 0.436 0.487
```

# 6
Structure and theoretical powder diffractogram of Ac4GaGeO (a cell relaxed with PBE; Cu Kα (λ = 1.5418 Å)).

Top 8 peaks for 10° ≤ 2θ ≤ 90°, by angle:
hkl 2 2 0, 2θ = 27.3°, 3.271 Å, rel. 100
hkl 0 6 0, 2θ = 30.5°, 2.927 Å, rel. 23
hkl 1 5 1, 2θ = 31.2°, 2.871 Å, rel. 29
hkl 2 4 0, 2θ = 32.6°, 2.748 Å, rel. 43
hkl 2 0 2, 2θ = 36.0°, 2.492 Å, rel. 49
hkl 2 6 2, 2θ = 47.9°, 1.897 Å, rel. 27
hkl 2 8 0, 2θ = 48.9°, 1.863 Å, rel. 21
hkl 4 2 2, 2θ = 59.6°, 1.551 Å, rel. 24

Crystal structure
```
data_Ac4GaGeO
_symmetry_space_group_name_H-M 'C m c m'
_symmetry_Int_Tables_number 63
_symmetry_space_group_name_Hall '-C 2c 2'
_cell_length_a 7.051
_cell_length_b 17.561
_cell_length_c 7.047
_cell_angle_alpha 90.00
_cell_angle_beta 90.00
_cell_angle_gamma 90.00
loop_
_atom_site_label
_atom_site_type_symbol
_atom_site_fract_x
_atom_site_fract_y
_atom_site_fract_z
Ac1 Ac 0.000 0.062 0.250
Ac2 Ac 0.000 0.431 0.250
Ac3 Ac 0.250 0.250 0.000
Ga1 Ga 0.000 0.118 0.750
Ge1 Ge 0.000 0.383 0.750
O1 O 0.000 0.290 0.250
```

# 7
Structure and theoretical powder diffractogram of PmScH4 (a cell relaxed with PBE; Cu Kα (λ = 1.5418 Å)).

Top 8 peaks for 10° ≤ 2θ ≤ 90°, by angle:
hkl 0 0 1, 2θ = 17.1°, 5.174 Å, rel. 26
hkl 1 0 0, 2θ = 25.0°, 3.567 Å, rel. 23
hkl 1 0 1, 2θ = 30.4°, 2.937 Å, rel. 100
hkl 0 0 2, 2θ = 34.7°, 2.587 Å, rel. 17
hkl 1 1 0, 2θ = 35.6°, 2.522 Å, rel. 31
hkl 1 1 2, 2θ = 50.5°, 1.806 Å, rel. 25
hkl 1 0 3, 2θ = 59.5°, 1.553 Å, rel. 14
hkl 2 1 1, 2θ = 60.8°, 1.524 Å, rel. 27

Crystal structure
```
data_PmScH4
_symmetry_space_group_name_H-M 'P 4/m m m'
_symmetry_Int_Tables_number 123
_symmetry_space_group_name_Hall '-P 4 2'
_cell_length_a 3.567
_cell_length_b 3.567
_cell_length_c 5.174
_cell_angle_alpha 90.00
_cell_angle_beta 90.00
_cell_angle_gamma 90.00
loop_
_atom_site_label
_atom_site_type_symbol
_atom_site_fract_x
_atom_site_fract_y
_atom_site_fract_z
Pm1 Pm 0.000 0.000 0.000
Sc1 Sc 0.500 0.500 0.500
H1 H 0.000 0.500 0.282
```

# 8
Structure and theoretical powder diffractogram of BaCd9In2 (a cell relaxed with PBE; Cu Kα (λ = 1.5418 Å)).

Top 8 peaks for 10° ≤ 2θ ≤ 90°, by angle:
hkl 1 1 1, 2θ = 30.1°, 2.972 Å, rel. 40
hkl 2 0 1, 2θ = 31.9°, 2.809 Å, rel. 78
hkl 2 2 0, 2θ = 36.1°, 2.485 Å, rel. 100
hkl 2 1 1, 2θ = 36.7°, 2.446 Å, rel. 29
hkl 3 0 1, 2θ = 39.7°, 2.269 Å, rel. 22
hkl 4 0 1, 2θ = 48.9°, 1.861 Å, rel. 19
hkl 4 2 1, 2θ = 62.3°, 1.490 Å, rel. 18
hkl 2 2 2, 2θ = 62.5°, 1.486 Å, rel. 38

Crystal structure
```
data_BaCd9In2
_symmetry_space_group_name_H-M 'P 6/m m m'
_symmetry_Int_Tables_number 191
_symmetry_space_group_name_Hall '-P 6 2'
_cell_length_a 9.9402
_cell_length_b 9.9402
_cell_length_c 3.7079
_cell_angle_alpha 90.00
_cell_angle_beta 90.00
_cell_angle_gamma 120.00
loop_
_atom_site_label
_atom_site_type_symbol
_atom_site_fract_x
_atom_site_fract_y
_atom_site_fract_z
Ba1 Ba 0.0000 0.0000 0.0000
Cd1 Cd 0.0000 0.5000 0.0000
Cd2 Cd 0.1824 0.3649 0.5000
In1 In 0.3333 0.6667 0.0000
```

# 9
Structure and theoretical powder diffractogram of SmBi2O4F (a cell relaxed with PBE; Cu Kα (λ = 1.5418 Å)).

Top 8 peaks for 10° ≤ 2θ ≤ 90°, by angle:
hkl 1 0 0, 2θ = 22.9°, 3.885 Å, rel. 20
hkl 1 0 1, 2θ = 25.1°, 3.548 Å, rel. 34
hkl 1 0 2, 2θ = 30.8°, 2.899 Å, rel. 100
hkl 1 1 0, 2θ = 32.6°, 2.747 Å, rel. 38
hkl 1 1 3, 2θ = 45.5°, 1.995 Å, rel. 30
hkl 2 0 0, 2θ = 46.8°, 1.942 Å, rel. 22
hkl 2 1 2, 2θ = 57.1°, 1.614 Å, rel. 41
hkl 2 1 5, 2θ = 77.7°, 1.229 Å, rel. 22

Crystal structure
```
data_SmBi2O4F
_symmetry_space_group_name_H-M 'P 4/m m m'
_symmetry_Int_Tables_number 123
_symmetry_space_group_name_Hall '-P 4 2'
_cell_length_a 3.885
_cell_length_b 3.885
_cell_length_c 8.706
_cell_angle_alpha 90.00
_cell_angle_beta 90.00
_cell_angle_gamma 90.00
loop_
_atom_site_label
_atom_site_type_symbol
_atom_site_fract_x
_atom_site_fract_y
_atom_site_fract_z
Sm1 Sm 0.000 0.000 0.000
Bi1 Bi 0.500 0.500 0.296
O1 O 0.000 0.500 0.167
F1 F 0.000 0.000 0.500
```

# 10
Structure and theoretical powder diffractogram of Ca2Mg5Si8O24 (a cell relaxed with PBE; Cu Kα (λ = 1.5418 Å)).

Top 8 peaks for 10° ≤ 2θ ≤ 90°, by angle:
hkl 1 1 0, 2θ = 10.3°, 8.592 Å, rel. 71
hkl 1 1 -1, 2θ = 18.0°, 4.933 Å, rel. 35
hkl 1 3 1, 2θ = 26.0°, 3.431 Å, rel. 62
hkl 2 4 0, 2θ = 26.7°, 3.336 Å, rel. 42
hkl 3 1 0, 2θ = 28.0°, 3.192 Å, rel. 71
hkl 2 2 1, 2θ = 29.9°, 2.989 Å, rel. 40
hkl 1 5 1, 2θ = 32.6°, 2.747 Å, rel. 100
hkl 2 0 -2, 2θ = 35.0°, 2.561 Å, rel. 58

Crystal structure
```
data_Ca2Mg5Si8O24
_symmetry_space_group_name_H-M 'C 1 2/m 1'
_symmetry_Int_Tables_number 12
_symmetry_space_group_name_Hall '-C 2y'
_cell_length_a 10.049
_cell_length_b 18.346
_cell_length_c 5.329
_cell_angle_alpha 90.00
_cell_angle_beta 104.60
_cell_angle_gamma 90.00
loop_
_atom_site_label
_atom_site_type_symbol
_atom_site_fract_x
_atom_site_fract_y
_atom_site_fract_z
Ca1 Ca 0.000 0.219 0.000
Mg1 Mg 0.000 0.321 0.500
Mg2 Mg 0.000 0.405 0.000
Mg3 Mg 0.000 0.500 0.500
Si1 Si 0.212 0.171 0.699
Si2 Si 0.224 0.084 0.209
O1 O 0.085 0.500 0.180
O2 O 0.110 0.412 0.710
O3 O 0.120 0.326 0.223
O4 O 0.131 0.246 0.708
O5 O 0.156 0.133 0.404
O6 O 0.160 0.119 0.918
O7 O 0.170 0.000 0.213
```

# 11
Structure and theoretical powder diffractogram of TaB4W (a cell relaxed with PBE; Cu Kα (λ = 1.5418 Å)).

Top 8 peaks for 10° ≤ 2θ ≤ 90°, by angle:
hkl 0 1 0, 2θ = 26.7°, 3.342 Å, rel. 46
hkl 1 0 1, 2θ = 33.7°, 2.657 Å, rel. 84
hkl 1 1 1, 2θ = 43.5°, 2.079 Å, rel. 100
hkl 2 0 0, 2θ = 60.3°, 1.534 Å, rel. 20
hkl 1 2 1, 2θ = 66.1°, 1.414 Å, rel. 25
hkl 2 1 0, 2θ = 67.2°, 1.394 Å, rel. 22
hkl 2 1 2, 2θ = 77.3°, 1.234 Å, rel. 19
hkl 2 2 0, 2θ = 86.0°, 1.130 Å, rel. 16

Crystal structure
```
data_TaB4W
_symmetry_space_group_name_H-M 'P m m m'
_symmetry_Int_Tables_number 47
_symmetry_space_group_name_Hall '-P 2 2'
_cell_length_a 3.068
_cell_length_b 3.342
_cell_length_c 5.312
_cell_angle_alpha 90.00
_cell_angle_beta 90.00
_cell_angle_gamma 90.00
loop_
_atom_site_label
_atom_site_type_symbol
_atom_site_fract_x
_atom_site_fract_y
_atom_site_fract_z
Ta1 Ta 0.000 0.000 0.000
B1 B 0.000 0.500 0.336
B2 B 0.500 0.500 0.170
W1 W 0.500 0.000 0.500
```

# 12
Structure and theoretical powder diffractogram of Ba3SrCu2O6 (a cell relaxed with PBE; Cu Kα (λ = 1.5418 Å)).

Top 8 peaks for 10° ≤ 2θ ≤ 90°, by angle:
hkl 1 0 1, 2θ = 20.5°, 4.323 Å, rel. 14
hkl 1 1 0, 2θ = 28.3°, 3.151 Å, rel. 100
hkl 0 1 2, 2θ = 30.1°, 2.970 Å, rel. 82
hkl 2 0 2, 2θ = 41.8°, 2.162 Å, rel. 49
hkl 3 0 0, 2θ = 50.1°, 1.819 Å, rel. 20
hkl 1 2 2, 2θ = 51.3°, 1.783 Å, rel. 37
hkl 2 2 0, 2θ = 58.6°, 1.576 Å, rel. 18
hkl 3 1 2, 2θ = 67.3°, 1.392 Å, rel. 16

Crystal structure
```
data_Ba3SrCu2O6
_symmetry_space_group_name_H-M 'P -3 m 1'
_symmetry_Int_Tables_number 164
_symmetry_space_group_name_Hall '-P 3 2"'
_cell_length_a 6.3029
_cell_length_b 6.3029
_cell_length_c 7.0802
_cell_angle_alpha 90.00
_cell_angle_beta 90.00
_cell_angle_gamma 120.00
loop_
_atom_site_label
_atom_site_type_symbol
_atom_site_fract_x
_atom_site_fract_y
_atom_site_fract_z
Ba1 Ba 0.0000 0.0000 0.0000
Ba2 Ba 0.3333 0.6667 0.6693
Sr1 Sr 0.0000 0.0000 0.5000
Cu1 Cu 0.3333 0.6667 0.2220
O1 O 0.1684 0.3368 0.2794
```